For Tm5Bi3, the GGA-PBE geometry in the Materials Project gives the theoretical XRD peak list in this record (Cu Kα, 1.54184 Å).
Peak positions follow from Bragg's law for the DFT cell and can differ from measured ones.

Atomic structure:
```
32
Lattice="11.8452 0.0000 0.0000 0.0000 9.3948 0.0000 0.0000 0.0000 8.2498" Properties=species:S:1:pos:R:3 pbc="T T T"
Tm 0.1111 2.3487 0.2149
Tm 0.7999 0.5746 5.7411
Tm 0.7999 4.1228 5.7411
Tm 2.5104 7.0461 2.8582
Tm 2.7620 2.3487 2.7015
Tm 3.1606 7.0461 6.8264
Tm 3.4122 2.3487 6.9831
Tm 5.1228 5.2719 1.6162
Tm 5.1228 8.8202 1.6162
Tm 5.8115 7.0461 4.3398
Tm 6.0337 2.3487 3.9100
Tm 6.7225 0.5746 6.6336
Tm 6.7225 4.1228 6.6336
Tm 8.4330 7.0461 1.2667
Tm 8.6846 2.3487 1.4234
Tm 9.0832 7.0461 5.5483
Tm 9.3348 2.3487 5.3917
Tm 11.0454 5.2719 2.5087
Tm 11.0454 8.8202 2.5087
Tm 11.7341 7.0461 8.0349
Bi 0.2528 7.0461 4.8905
Bi 2.0650 4.8025 0.5676
Bi 2.0650 9.2897 0.5676
Bi 3.8576 0.1051 4.6925
Bi 3.8576 4.5923 4.6925
Bi 5.6698 2.3487 0.7656
Bi 6.1754 7.0461 7.4842
Bi 7.9876 4.8025 3.5573
Bi 7.9876 9.2897 3.5573
Bi 9.7803 0.1051 7.6822
Bi 9.7803 4.5923 7.6822
Bi 11.5924 2.3487 3.3593
```

Top 12 peaks for 5 to 70 degrees two-theta, sorted by position:
29.8°, intensity 100, (1 2 2); 30.5°, intensity 30, (0 3 1); 31.4°, intensity 29, (3 0 2); 31.5°, intensity 62, (3 2 1); 32.1°, intensity 56, (4 0 1); 32.6°, intensity 95, (2 2 2); 33.5°, intensity 39, (1 0 3); 35.8°, intensity 49, (4 2 0); 37.3°, intensity 23, (2 1 3); 38.3°, intensity 50, (0 4 0); 41.0°, intensity 24, (2 2 3); 62.9°, intensity 21, (5 2 4)

For KLaTiO4, the GGA-PBE geometry in the Materials Project gives the theoretical XRD peak list in this record (Cu Kα, 1.54184 Å).
Peak positions follow from Bragg's law for the DFT cell and can differ from measured ones.

Atomic structure:
```
28
Lattice="13.6146 0.0000 0.0000 0.0000 5.4657 0.0000 0.0000 0.0000 5.4487" Properties=species:S:1:pos:R:3 pbc="T T T"
K 1.2366 0.0338 1.3622
K 1.2366 2.6990 4.0865
K 12.3781 2.7667 1.3622
K 12.3781 5.4318 4.0865
La 5.3788 0.0545 1.3622
La 5.3788 2.6783 4.0865
La 8.2358 2.7873 1.3622
La 8.2358 5.4112 4.0865
Ti 3.2671 2.7446 1.3622
Ti 3.2671 5.4540 4.0865
Ti 10.3475 0.0117 1.3622
Ti 10.3475 2.7211 4.0865
O 1.5088 2.7816 1.3622
O 1.5088 5.4169 4.0865
O 3.6469 1.3664 0.0000
O 3.6469 1.3664 2.7243
O 3.7560 4.0993 0.0000
O 3.7560 4.0993 2.7243
O 5.9012 0.1693 4.0865
O 5.9012 2.5635 1.3622
O 7.7134 2.9021 4.0865
O 7.7134 5.2964 1.3622
O 9.8586 1.3664 0.0000
O 9.8586 1.3664 2.7243
O 9.9677 4.0993 0.0000
O 9.9677 4.0993 2.7243
O 12.1058 0.0488 1.3622
O 12.1058 2.6841 4.0865
```

Top 12 peaks for 5 to 70 degrees two-theta, sorted by position:
6.5°, intensity 100, (1 0 0); 26.6°, intensity 34, (2 1 1); 30.4°, intensity 73, (3 1 1); 32.8°, intensity 22, (0 2 0); 32.9°, intensity 26, (0 0 2); 39.7°, intensity 13, (6 0 0); 42.5°, intensity 18, (4 0 2); 47.1°, intensity 35, (0 2 2); 52.4°, intensity 14, (6 0 2); 57.0°, intensity 12, (3 3 1); 57.2°, intensity 12, (3 1 3); 63.3°, intensity 11, (6 2 2)